No. 1
Structure and computed powder X-ray diffraction pattern of Sb2TePd8 (the PBE geometry in Alexandria; Cu Kα (λ = 1.5418 Å)).
Lines closer than 0.1° are merged.

a b c (Å): 7.703 7.703 6.538
angles (deg): 110.69 110.69 32.21
Positions (direct):
1 Sb 0.189 0.189 0.175
2 Sb 0.811 0.811 0.825
3 Te 0.500 0.500 0.500
4 Pd 0.027 0.027 0.257
5 Pd 0.180 0.180 0.760
6 Pd 0.330 0.330 0.568
7 Pd 0.406 0.406 0.050
8 Pd 0.594 0.594 0.950
9 Pd 0.670 0.670 0.432
10 Pd 0.820 0.820 0.240
11 Pd 0.973 0.973 0.743

Most intense lines, 2θ from 10° to 90°, by angle:
2θ (°), I/Imax
37.0, 59
38.8, 100
39.3, 13
41.1, 27
42.3, 43
42.6, 17
73.9, 14
75.0, 17

***

No. 2
Structure and computed powder X-ray diffraction pattern of Th2Sb7Pd12 (the PBE geometry in Alexandria; Cu Kα (λ = 1.5418 Å)).
Lines closer than 0.1° are merged.

a b c (Å): 10.494 10.494 4.411
angles (deg): 90.00 90.00 120.00
Positions (direct):
1 Th 0.333 0.667 0.225
2 Th 0.667 0.333 0.775
3 Sb 0.000 0.000 0.500
4 Sb 0.107 0.706 0.712
5 Sb 0.294 0.401 0.712
6 Sb 0.401 0.107 0.288
7 Sb 0.599 0.893 0.712
8 Sb 0.706 0.599 0.288
9 Sb 0.893 0.294 0.288
10 Pd 0.065 0.441 0.780
11 Pd 0.125 0.256 0.205
12 Pd 0.131 0.875 0.205
13 Pd 0.256 0.131 0.795
14 Pd 0.376 0.935 0.780
15 Pd 0.441 0.376 0.220
16 Pd 0.559 0.624 0.780
17 Pd 0.624 0.065 0.220
18 Pd 0.744 0.869 0.205
19 Pd 0.869 0.125 0.795
20 Pd 0.875 0.744 0.795
21 Pd 0.935 0.559 0.220

Most intense lines, 2θ from 10° to 90°, by angle:
2θ (°), I/Imax
28.2, 10
33.1, 100
40.9, 17
41.3, 15
45.8, 25
48.3, 14
63.0, 10
69.5, 10

***

No. 3
Structure and computed powder X-ray diffraction pattern of Th4Sb2Pd (the PBE geometry in Alexandria; Cu Kα (λ = 1.5418 Å)).
Lines closer than 0.1° are merged.

a b c (Å): 8.467 8.467 7.255
angles (deg): 115.33 115.33 28.76
Positions (direct):
1 Th 0.109 0.109 0.267
2 Th 0.389 0.389 0.213
3 Th 0.611 0.611 0.787
4 Th 0.891 0.891 0.733
5 Sb 0.249 0.249 0.743
6 Sb 0.751 0.751 0.257
7 Pd 0.000 0.000 0.500

Most intense lines, 2θ from 10° to 90°, by angle:
2θ (°), I/Imax
27.4, 100
34.7, 58
43.0, 13
43.2, 24
44.6, 19
51.8, 12
56.4, 10
69.7, 8

***

No. 4
Structure and computed powder X-ray diffraction pattern of Ti3SbPd7 (the PBE geometry in Alexandria; Cu Kα (λ = 1.5418 Å)).
Lines closer than 0.1° are merged.

a b c (Å): 6.729 6.729 4.874
angles (deg): 110.66 110.66 91.51
Positions (direct):
1 Ti 0.000 0.000 0.000
2 Ti 0.233 0.767 0.500
3 Ti 0.767 0.233 0.500
4 Sb 0.500 0.500 0.000
5 Pd 0.040 0.606 0.822
6 Pd 0.170 0.170 0.661
7 Pd 0.394 0.960 0.178
8 Pd 0.500 0.500 0.500
9 Pd 0.606 0.040 0.822
10 Pd 0.830 0.830 0.339
11 Pd 0.960 0.394 0.178

Most intense lines, 2θ from 10° to 90°, by angle:
2θ (°), I/Imax
28.8, 35
33.4, 42
34.5, 53
36.9, 100
37.3, 70
42.4, 74
42.9, 71
53.5, 48

***

No. 5
Structure and computed powder X-ray diffraction pattern of TiSb2Pd7 (the PBE geometry in Alexandria; Cu Kα (λ = 1.5418 Å)).
Lines closer than 0.1° are merged.

a b c (Å): 8.833 8.833 3.202
angles (deg): 90.00 90.00 128.74
Positions (direct):
1 Ti 0.000 0.000 0.000
2 Sb 0.333 0.667 0.500
3 Sb 0.667 0.333 0.500
4 Pd 0.095 0.276 0.500
5 Pd 0.205 0.795 0.000
6 Pd 0.276 0.095 0.500
7 Pd 0.500 0.500 0.500
8 Pd 0.724 0.905 0.500
9 Pd 0.795 0.205 0.000
10 Pd 0.905 0.724 0.500

Most intense lines, 2θ from 10° to 90°, by angle:
2θ (°), I/Imax
27.9, 47
35.7, 39
36.0, 33
41.4, 90
41.7, 100
45.9, 82
50.7, 47
73.4, 32

***

No. 6
Structure and computed powder X-ray diffraction pattern of Tl2Sb2Pd (the PBE geometry in Alexandria; Cu Kα (λ = 1.5418 Å)).
Lines closer than 0.1° are merged.

a b c (Å): 10.609 10.609 10.609
angles (deg): 22.54 22.54 22.54
Positions (direct):
1 Tl 0.052 0.052 0.052
2 Tl 0.948 0.948 0.948
3 Sb 0.208 0.208 0.208
4 Sb 0.792 0.792 0.792
5 Pd 0.500 0.500 0.500

Most intense lines, 2θ from 10° to 90°, by angle:
2θ (°), I/Imax
25.0, 57
25.5, 23
27.4, 45
32.1, 100
34.0, 31
40.7, 39
43.7, 66
55.2, 21

***

No. 7
Structure and computed powder X-ray diffraction pattern of Tl2SbPd9 (the PBE geometry in Alexandria; Cu Kα (λ = 1.5418 Å)).
Lines closer than 0.1° are merged.

a b c (Å): 4.061 4.061 12.298
angles (deg): 90.00 90.00 90.00
Positions (direct):
1 Tl 0.000 0.000 0.166
2 Tl 0.000 0.000 0.834
3 Sb 0.000 0.000 0.500
4 Pd 0.000 0.500 0.000
5 Pd 0.000 0.500 0.339
6 Pd 0.000 0.500 0.661
7 Pd 0.500 0.000 0.000
8 Pd 0.500 0.000 0.339
9 Pd 0.500 0.000 0.661
10 Pd 0.500 0.500 0.171
11 Pd 0.500 0.500 0.500
12 Pd 0.500 0.500 0.829

Most intense lines, 2θ from 10° to 90°, by angle:
2θ (°), I/Imax
38.3, 100
44.2, 16
44.6, 32
64.6, 21
64.9, 10
77.3, 12
78.0, 25
81.9, 11

***

No. 8
Structure and computed powder X-ray diffraction pattern of Tm2SbPd9 (the PBE geometry in Alexandria; Cu Kα (λ = 1.5418 Å)).
Lines closer than 0.1° are merged.

a b c (Å): 4.083 4.083 12.213
angles (deg): 90.00 90.00 90.00
Positions (direct):
1 Tm 0.000 0.000 0.165
2 Tm 0.000 0.000 0.835
3 Sb 0.000 0.000 0.500
4 Pd 0.000 0.500 0.000
5 Pd 0.000 0.500 0.338
6 Pd 0.000 0.500 0.662
7 Pd 0.500 0.000 0.000
8 Pd 0.500 0.000 0.338
9 Pd 0.500 0.000 0.662
10 Pd 0.500 0.500 0.171
11 Pd 0.500 0.500 0.500
12 Pd 0.500 0.500 0.829

Most intense lines, 2θ from 10° to 90°, by angle:
2θ (°), I/Imax
38.2, 100
44.4, 33
44.5, 16
64.6, 11
64.7, 21
77.6, 25
77.8, 12
81.8, 11

***

No. 9
Structure and computed powder X-ray diffraction pattern of USb2Pd9 (the PBE geometry in Alexandria; Cu Kα (λ = 1.5418 Å)).
Lines closer than 0.1° are merged.

a b c (Å): 4.116 4.116 12.092
angles (deg): 90.00 90.00 90.00
Positions (direct):
1 U 0.000 0.000 0.000
2 Sb 0.000 0.000 0.340
3 Sb 0.000 0.000 0.660
4 Pd 0.000 0.500 0.165
5 Pd 0.000 0.500 0.500
6 Pd 0.000 0.500 0.835
7 Pd 0.500 0.000 0.165
8 Pd 0.500 0.000 0.500
9 Pd 0.500 0.000 0.835
10 Pd 0.500 0.500 0.000
11 Pd 0.500 0.500 0.334
12 Pd 0.500 0.500 0.666

Most intense lines, 2θ from 10° to 90°, by angle:
2θ (°), I/Imax
38.1, 100
44.0, 33
45.0, 15
64.0, 11
64.7, 21
77.0, 25
78.4, 12
81.6, 11

***

No. 10
Structure and computed powder X-ray diffraction pattern of VSbPd4 (the PBE geometry in Alexandria; Cu Kα (λ = 1.5418 Å)).
Lines closer than 0.1° are merged.

a b c (Å): 4.662 4.662 5.414
angles (deg): 105.75 105.75 107.77
Positions (direct):
1 V 0.000 0.000 0.000
2 Sb 0.500 0.500 0.500
3 Pd 0.061 0.435 0.758
4 Pd 0.435 0.061 0.758
5 Pd 0.565 0.939 0.242
6 Pd 0.939 0.565 0.242

Most intense lines, 2θ from 10° to 90°, by angle:
2θ (°), I/Imax
33.8, 59
38.6, 65
40.8, 100
44.2, 55
44.7, 53
51.8, 17
70.9, 19
71.4, 18

***

No. 11
Structure and computed powder X-ray diffraction pattern of ZnSb2Pd6 (the PBE geometry in Alexandria; Cu Kα (λ = 1.5418 Å)).
Lines closer than 0.1° are merged.

a b c (Å): 7.178 7.178 3.385
angles (deg): 90.00 90.00 120.00
Positions (direct):
1 Zn 0.000 0.000 0.000
2 Sb 0.333 0.667 0.500
3 Sb 0.667 0.333 0.500
4 Pd 0.000 0.272 0.500
5 Pd 0.000 0.621 0.000
6 Pd 0.272 0.000 0.500
7 Pd 0.379 0.379 0.000
8 Pd 0.621 0.000 0.000
9 Pd 0.728 0.728 0.500

Most intense lines, 2θ from 10° to 90°, by angle:
2θ (°), I/Imax
36.5, 100
38.3, 31
39.4, 48
43.7, 60
47.1, 25
54.2, 17
71.8, 24
72.0, 26

***

No. 12
Structure and computed powder X-ray diffraction pattern of ZnSbPd4 (the PBE geometry in Alexandria; Cu Kα (λ = 1.5418 Å)).
Lines closer than 0.1° are merged.

a b c (Å): 5.184 7.915 5.063
angles (deg): 90.00 109.73 90.00
Positions (direct):
1 Zn 0.000 0.000 0.000
2 Zn 0.000 0.500 0.500
3 Sb 0.500 0.000 0.500
4 Sb 0.500 0.500 0.000
5 Pd 0.091 0.165 0.587
6 Pd 0.091 0.335 0.087
7 Pd 0.402 0.664 0.418
8 Pd 0.402 0.836 0.918
9 Pd 0.598 0.164 0.082
10 Pd 0.598 0.336 0.582
11 Pd 0.909 0.665 0.913
12 Pd 0.909 0.835 0.413

Most intense lines, 2θ from 10° to 90°, by angle:
2θ (°), I/Imax
36.8, 21
37.8, 25
38.1, 36
38.6, 35
39.5, 29
40.4, 100
43.2, 41
46.2, 25